(1)
Starting from a PBE-relaxed structure, the XRD peak list of Pu3Pa5N8 was simulated for Cu Kα X-rays.
Lines closer than 0.1° are merged.

Peak list (10 most intense, 2θ from 10° to 90°, in order of rising 2θ)
2θ 31.35, I = 100.0
2θ 36.35, I = 64.9
2θ 52.36, I = 46.1
2θ 62.30, I = 46.1
2θ 65.38, I = 11.9
2θ 65.49, I = 3.9
2θ 77.20, I = 7.4
2θ 85.64, I = 15.1
2θ 85.76, I = 5.0
2θ 88.46, I = 22.0

Crystal structure
a b c (Å): 6.9935 6.9935 17.1038
angles (deg): 90.00 90.00 120.00
Space group R-3m (No. 166, hexagonal axes)
Unique sites:
Pu  0.0000  0.5000  0.0000 (multiplicity 9)
Pa  0.0000  0.0000  0.0000 (multiplicity 3)
Pa  0.0000  0.0000  0.5000 (multiplicity 3)
Pa  0.0000  0.5000  0.5000 (multiplicity 9)
N  0.0000  0.0000  0.2473 (multiplicity 6)
N  0.0035  0.5017  0.7520 (multiplicity 18)

***

(2)
Starting from a PBE-relaxed structure, the XRD peak list of YHfAgRu was simulated for Cu Kα X-rays.
Lines closer than 0.1° are merged.

Peak list (10 most intense, 2θ from 10° to 90°, in order of rising 2θ)
2θ 22.53, I = 7.2
2θ 26.07, I = 1.3
2θ 37.20, I = 100.0
2θ 43.92, I = 4.1
2θ 53.62, I = 17.1
2θ 58.88, I = 1.8
2θ 67.06, I = 34.4
2θ 71.74, I = 1.4
2θ 79.27, I = 10.7
2θ 83.69, I = 1.4

Crystal structure
a b c (Å): 6.8368 6.8368 6.8368
angles (deg): 90.00 90.00 90.00
Space group F-43m (No. 216)
Unique sites:
Y  0.0000  0.0000  0.0000 (multiplicity 4)
Hf  0.0000  0.0000  0.5000 (multiplicity 4)
Ag  0.2500  0.2500  0.7500 (multiplicity 4)
Ru  0.2500  0.2500  0.2500 (multiplicity 4)

***

(3)
Starting from a PBE-relaxed structure, the XRD peak list of P2Se was simulated for Cu Kα X-rays.
Lines closer than 0.1° are merged.

Peak list (10 most intense, 2θ from 10° to 90°, in order of rising 2θ)
2θ 17.79, I = 46.4
2θ 23.71, I = 80.0
2θ 24.61, I = 38.4
2θ 31.55, I = 27.1
2θ 31.78, I = 40.4
2θ 33.55, I = 53.0
2θ 35.29, I = 100.0
2θ 48.84, I = 34.6
2θ 50.13, I = 21.5
2θ 52.16, I = 18.0

Crystal structure
a b c (Å): 5.3452 3.4122 7.9950
angles (deg): 90.00 107.42 90.00
Space group P2_1/m (No. 11)
Unique sites:
P  0.0319  0.2500  0.0989 (multiplicity 2)
P  0.3786  0.7500  0.8753 (multiplicity 2)
Se  0.3065  0.2500  0.6667 (multiplicity 2)